# 1
For Y2TiB2Ru5, a DFT-relaxed cell (PBE, Alexandria) gives the theoretical PXRD pattern in this record (λ = 1.5418 Å (Cu Kα)).
Kinematic intensities with the Lorentz-polarization factor, no thermal factor.

Unit cell a=9.6357 b=9.6357 c=3.1187 alpha=90.00 beta=90.00 gamma=90.00
Element x y z (fractional)
Y  0.1756  0.3244  0.0000
Y  0.3244  0.8244  0.0000
Y  0.6756  0.1756  0.0000
Y  0.8244  0.6756  0.0000
Ti  0.0000  0.0000  0.0000
Ti  0.5000  0.5000  0.0000
B  0.1226  0.6226  0.0000
B  0.3774  0.1226  0.0000
B  0.6226  0.8774  0.0000
B  0.8774  0.3774  0.0000
Ru  0.0000  0.5000  0.5000
Ru  0.0698  0.7832  0.5000
Ru  0.2168  0.0698  0.5000
Ru  0.2832  0.5698  0.5000
Ru  0.4302  0.2832  0.5000
Ru  0.5000  0.0000  0.5000
Ru  0.5698  0.7168  0.5000
Ru  0.7168  0.4302  0.5000
Ru  0.7832  0.9302  0.5000
Ru  0.9302  0.2168  0.5000

Peak list (10 most intense, 2θ = 5–70°, low angle first)
2θ (°)  I/Imax
28.62  22.2
33.53  24.0
35.53  77.9
38.52  95.5
39.16  32.3
39.69  22.6
41.43  100.0
41.93  39.5
44.65  42.6
69.33  22.3


# 2
For Cd6Te7, a DFT-relaxed cell (PBE, Alexandria) gives the theoretical PXRD pattern in this record (λ = 1.5418 Å (Cu Kα)).
Kinematic intensities with the Lorentz-polarization factor, no thermal factor.

Unit cell a=9.1325 b=9.1325 c=9.1325 alpha=52.67 beta=52.67 gamma=52.67
Element x y z (fractional)
Cd  0.0598  0.0598  0.0598
Cd  0.1780  0.1780  0.1780
Cd  0.3335  0.3335  0.3335
Cd  0.6665  0.6665  0.6665
Cd  0.8220  0.8220  0.8220
Cd  0.9402  0.9402  0.9402
Te  0.0886  0.5798  0.5798
Te  0.4202  0.4202  0.9114
Te  0.4202  0.9114  0.4202
Te  0.5000  0.5000  0.5000
Te  0.5798  0.0886  0.5798
Te  0.5798  0.5798  0.0886
Te  0.9114  0.4202  0.4202

Peak list (10 most intense, 2θ = 5–70°, low angle first)
2θ (°)  I/Imax
21.94  55.9
25.67  61.2
26.51  18.4
31.78  100.0
37.04  53.1
40.00  23.7
44.74  62.9
45.14  22.5
65.44  14.3
66.35  22.6


# 3
For HoMg6Sc5, a DFT-relaxed cell (PBE, Alexandria) gives the theoretical PXRD pattern in this record (λ = 1.5418 Å (Cu Kα)).
Kinematic intensities with the Lorentz-polarization factor, no thermal factor.

Unit cell a=8.8781 b=8.8781 c=5.1277 alpha=106.75 beta=106.75 gamma=119.99
Element x y z (fractional)
Ho  0.0000  0.0000  0.0000
Mg  0.0854  0.4251  0.2555
Mg  0.2606  0.2606  0.7605
Mg  0.4251  0.0854  0.2555
Mg  0.5749  0.9146  0.7445
Mg  0.7394  0.7394  0.2395
Mg  0.9146  0.5749  0.7445
Sc  0.1639  0.8361  0.5000
Sc  0.3331  0.6669  0.0000
Sc  0.5000  0.5000  0.5000
Sc  0.6669  0.3331  0.0000
Sc  0.8361  0.1639  0.5000

Peak list (10 most intense, 2θ = 5–70°, low angle first)
2θ (°)  I/Imax
11.51  10.0
13.49  13.7
18.24  7.2
21.22  10.8
24.20  8.3
24.55  23.7
35.00  100.0
50.33  16.9
56.77  8.5
62.77  33.4


# 4
For Ac5Pr2Sm5, a DFT-relaxed cell (PBE, Alexandria) gives the theoretical PXRD pattern in this record (λ = 1.5418 Å (Cu Kα)).
Kinematic intensities with the Lorentz-polarization factor, no thermal factor.

Unit cell a=8.4819 b=8.4819 c=12.0298 alpha=115.06 beta=115.06 gamma=36.82
Element x y z (fractional)
Ac  0.0000  0.0000  0.0000
Ac  0.1612  0.1612  0.4967
Ac  0.2515  0.2515  0.2459
Ac  0.7485  0.7485  0.7541
Ac  0.8388  0.8388  0.5033
Pr  0.0831  0.0831  0.7561
Pr  0.9169  0.9169  0.2439
Sm  0.3320  0.3320  0.9992
Sm  0.4205  0.4205  0.7519
Sm  0.5000  0.5000  0.5000
Sm  0.5795  0.5795  0.2481
Sm  0.6680  0.6680  0.0008

Peak list (10 most intense, 2θ = 5–70°, low angle first)
2θ (°)  I/Imax
22.25  1.3
28.80  100.0
33.29  17.1
33.43  34.0
47.90  25.0
48.00  12.4
56.77  15.0
56.94  29.9
59.66  13.0
69.91  2.0


# 5
For Dy4InAu2, a DFT-relaxed cell (PBE, Alexandria) gives the theoretical PXRD pattern in this record (λ = 1.5418 Å (Cu Kα)).
Kinematic intensities with the Lorentz-polarization factor, no thermal factor.

Unit cell a=9.9972 b=9.9972 c=9.9972 alpha=28.37 beta=28.37 gamma=28.37
Element x y z (fractional)
Dy  0.1178  0.1178  0.1178
Dy  0.2967  0.2967  0.2967
Dy  0.7033  0.7033  0.7033
Dy  0.8822  0.8822  0.8822
In  0.5000  0.5000  0.5000
Au  0.3987  0.3987  0.3987
Au  0.6013  0.6013  0.6013

Peak list (10 most intense, 2θ = 5–70°, low angle first)
2θ (°)  I/Imax
21.16  25.2
24.35  34.3
26.09  18.0
30.28  21.1
36.68  100.0
37.78  64.7
40.52  16.2
53.68  23.6
66.05  18.0
66.78  24.6


# 6
For SrSeIO4, a DFT-relaxed cell (PBE, Alexandria) gives the theoretical PXRD pattern in this record (λ = 1.5418 Å (Cu Kα)).
Kinematic intensities with the Lorentz-polarization factor, no thermal factor.

Unit cell a=7.0435 b=7.0435 c=7.2098 alpha=99.71 beta=99.71 gamma=57.84
Element x y z (fractional)
Sr  0.1989  0.1989  0.3085
Sr  0.8011  0.8011  0.6915
Se  0.1393  0.1393  0.7469
Se  0.8607  0.8607  0.2531
I  0.4745  0.4745  0.8113
I  0.5255  0.5255  0.1887
O  0.0042  0.0042  0.7365
O  0.0153  0.6285  0.3728
O  0.2063  0.2063  0.9697
O  0.3715  0.9847  0.6272
O  0.6285  0.0153  0.3728
O  0.7937  0.7937  0.0303
O  0.9847  0.3715  0.6272
O  0.9958  0.9958  0.2635

Peak list (10 most intense, 2θ = 5–70°, low angle first)
2θ (°)  I/Imax
18.58  16.9
25.18  43.6
25.67  100.0
26.16  64.0
26.67  33.7
33.02  22.6
36.62  31.8
39.27  17.1
39.79  15.8
52.15  15.0